Entry 1:
Calculated powder XRD pattern of HoBiPO for Cu Kα (λ = 1.5418 Å), from a structure optimized by DFT (GGA-PBE).

Principal peaks in the range 15 to 90 degrees two-theta, in order of rising 2θ:
(hkl), Position (°2θ), I (rel.)
1 1 0, 25.33, 86.6
0 2 1, 26.39, 100.0
1 1 1, 29.54, 63.0
0 0 2, 30.18, 63.9
1 1 2, 39.79, 53.4
1 3 1, 43.16, 36.9

a b c (Å): 3.891 8.223 5.922
angles (deg): 90.00 90.00 90.00
Atoms (fractional coordinates):
Ho: 0.000 0.157 0.000
Ho: 0.000 0.843 0.500
Bi: 0.500 0.409 0.505
Bi: 0.500 0.591 0.005
P: 0.000 0.181 0.500
P: 0.000 0.819 0.000
O: 0.500 0.253 0.998
O: 0.500 0.747 0.498


Entry 2:
Calculated powder XRD pattern of Li2YLuSn2Pd2 for Cu Kα (λ = 1.5418 Å), from a structure optimized by DFT (GGA-PBE).

Principal peaks in the range 15 to 90 degrees two-theta, in order of rising 2θ:
(hkl), Position (°2θ), I (rel.)
1 0 1, 23.00, 19.9
0 0 2, 26.62, 18.3
2 0 0, 38.00, 100.0
2 2 0, 54.83, 17.3
3 1 2, 68.66, 35.3
4 0 0, 81.26, 11.2

a b c (Å): 4.734 4.734 6.701
angles (deg): 90.00 90.00 90.00
Atoms (fractional coordinates):
Li: 0.000 0.500 0.247
Li: 0.500 0.000 0.753
Y: 0.000 0.000 0.500
Lu: 0.500 0.500 0.000
Sn: 0.000 0.000 0.000
Sn: 0.500 0.500 0.500
Pd: 0.000 0.500 0.757
Pd: 0.500 0.000 0.243


Entry 3:
Calculated powder XRD pattern of CuH2CBrN2 for Cu Kα (λ = 1.5418 Å), from a structure optimized by DFT (GGA-PBE).

Principal peaks in the range 15 to 90 degrees two-theta, in order of rising 2θ:
(hkl), Position (°2θ), I (rel.)
2 0 0, 21.10, 88.2
1 1 1, 26.65, 85.2
1 1 2, 29.43, 100.0
2 1 0, 31.67, 85.7
1 1 4, 38.72, 75.2
0 1 5, 43.27, 82.1

a b c (Å): 8.422 3.810 12.512
angles (deg): 90.00 90.00 90.00
Atoms (fractional coordinates):
Cu: 0.108 0.250 0.054
Cu: 0.392 0.750 0.554
Cu: 0.608 0.250 0.446
Cu: 0.892 0.750 0.946
H: 0.142 0.250 0.281
H: 0.198 0.250 0.416
H: 0.302 0.750 0.916
H: 0.358 0.750 0.781
H: 0.642 0.250 0.219
H: 0.698 0.250 0.084
H: 0.802 0.750 0.584
H: 0.858 0.750 0.719
C: 0.039 0.750 0.613
C: 0.461 0.250 0.113
C: 0.539 0.750 0.887
C: 0.961 0.250 0.387
Br: 0.039 0.250 0.861
Br: 0.461 0.750 0.361
Br: 0.539 0.250 0.639
Br: 0.961 0.750 0.139
N: 0.110 0.250 0.360
N: 0.173 0.750 0.587
N: 0.327 0.250 0.087
N: 0.390 0.750 0.860
N: 0.610 0.250 0.140
N: 0.673 0.750 0.913
N: 0.827 0.250 0.413
N: 0.890 0.750 0.640


Entry 4:
Calculated powder XRD pattern of La4Cd3Co2 for Cu Kα (λ = 1.5418 Å), from a structure optimized by DFT (GGA-PBE).

Principal peaks in the range 15 to 90 degrees two-theta, in order of rising 2θ:
(hkl), Position (°2θ), I (rel.)
2 0 1, 30.49, 67.2
1 0 -3, 32.13, 31.7
0 1 2, 32.80, 100.0
2 1 -1, 33.31, 99.2
2 0 -3, 34.77, 31.9
0 2 0, 47.99, 27.6

a b c (Å): 7.697 3.791 8.366
angles (deg): 90.00 109.79 90.00
Atoms (fractional coordinates):
La: 0.096 0.000 0.220
La: 0.398 0.000 0.682
La: 0.602 0.000 0.318
La: 0.904 0.000 0.780
Cd: 0.000 0.500 0.500
Cd: 0.300 0.500 0.999
Cd: 0.700 0.500 0.001
Co: 0.339 0.500 0.386
Co: 0.661 0.500 0.614


Entry 5:
Calculated powder XRD pattern of In2IrBr4 for Cu Kα (λ = 1.5418 Å), from a structure optimized by DFT (GGA-PBE).

Principal peaks in the range 15 to 90 degrees two-theta, in order of rising 2θ:
(hkl), Position (°2θ), I (rel.)
0 1 1, 24.10, 100.0
1 0 2, 26.62, 24.0
0 1 4, 35.03, 31.4
1 0 5, 40.32, 38.8
1 1 0, 40.77, 57.0
1 1 6, 57.88, 29.1

a b c (Å): 4.426 4.426 13.772
angles (deg): 90.00 90.00 120.00
Atoms (fractional coordinates):
In: 0.000 0.000 0.000
In: 0.333 0.667 0.358
Ir: 0.667 0.333 0.683
Br: 0.000 0.000 0.220
Br: 0.000 0.000 0.687
Br: 0.667 0.333 0.504
Br: 0.667 0.333 0.865


Entry 6:
Calculated powder XRD pattern of K3AuO for Cu Kα (λ = 1.5418 Å), from a structure optimized by DFT (GGA-PBE).

Principal peaks in the range 15 to 90 degrees two-theta, in order of rising 2θ:
(hkl), Position (°2θ), I (rel.)
1 0 0, 16.79, 36.0
1 0 1, 23.94, 53.1
1 1 1, 29.39, 100.0
2 0 0, 33.95, 42.0
2 0 2, 49.02, 28.3
3 1 1, 57.96, 28.1

a b c (Å): 5.282 5.282 5.231
angles (deg): 90.00 90.00 90.00
Atoms (fractional coordinates):
K: 0.000 0.000 0.000
K: 0.000 0.500 0.500
K: 0.500 0.000 0.500
Au: 0.500 0.500 0.000
O: 0.000 0.000 0.500


Entry 7:
Calculated powder XRD pattern of CuH6C10Br2N2Cl4 for Cu Kα (λ = 1.5418 Å), from a structure optimized by DFT (GGA-PBE).

Principal peaks in the range 15 to 90 degrees two-theta, in order of rising 2θ:
(hkl), Position (°2θ), I (rel.)
1 1 -1, 21.42, 78.9
1 1 0, 21.54, 97.2
0 1 -2, 21.94, 69.4
1 -2 1, 26.11, 50.5
1 0 2, 28.42, 73.3
-1 2 1, 28.99, 100.0

a b c (Å): 6.131 7.728 8.569
angles (deg): 102.73 96.54 102.21
Atoms (fractional coordinates):
Cu: 0.000 0.000 0.000
H: 0.187 0.390 0.499
H: 0.194 0.816 0.517
H: 0.403 0.255 0.946
H: 0.597 0.745 0.054
H: 0.806 0.184 0.483
H: 0.813 0.610 0.501
C: 0.059 0.795 0.415
C: 0.095 0.882 0.291
C: 0.153 0.319 0.594
C: 0.274 0.245 0.844
C: 0.321 0.339 0.726
C: 0.679 0.661 0.274
C: 0.726 0.755 0.156
C: 0.847 0.681 0.406
C: 0.905 0.118 0.709
C: 0.941 0.205 0.585
Br: 0.150 0.755 0.851
Br: 0.850 0.245 0.149
N: 0.068 0.137 0.835
N: 0.932 0.863 0.165
Cl: 0.352 0.024 0.292
Cl: 0.411 0.525 0.255
Cl: 0.589 0.475 0.745
Cl: 0.648 0.976 0.708


Entry 8:
Calculated powder XRD pattern of HgPdSeO for Cu Kα (λ = 1.5418 Å), from a structure optimized by DFT (GGA-PBE).

Principal peaks in the range 15 to 90 degrees two-theta, in order of rising 2θ:
(hkl), Position (°2θ), I (rel.)
1 1 1, 23.24, 99.6
0 1 2, 28.60, 37.8
1 0 2, 28.84, 35.9
1 1 2, 31.98, 89.6
1 2 1, 33.33, 100.0
2 1 1, 33.95, 80.6

a b c (Å): 6.318 6.540 7.103
angles (deg): 90.00 90.00 90.00
Atoms (fractional coordinates):
Hg: 0.101 0.089 0.412
Hg: 0.399 0.911 0.912
Hg: 0.601 0.411 0.588
Hg: 0.899 0.589 0.088
Pd: 0.167 0.321 0.873
Pd: 0.333 0.679 0.373
Pd: 0.667 0.179 0.127
Pd: 0.833 0.821 0.627
Se: 0.173 0.639 0.682
Se: 0.327 0.361 0.182
Se: 0.673 0.861 0.318
Se: 0.827 0.139 0.818
O: 0.171 0.835 0.157
O: 0.329 0.165 0.657
O: 0.671 0.665 0.843
O: 0.829 0.335 0.343